Starting from DFT lattice parameters and positions (PBE), the powder X-ray diffraction pattern of Ag2Pb3Au3 was simulated for CuKα.

Peak list (6 most intense, 2θ from 10° to 80°, low angle first)
| d/Å | I (rel.) |
| --- | --- |
| 2.854 | 24 |
| 2.524 | 100 |
| 2.482 | 24 |
| 2.378 | 43 |
| 1.942 | 22 |
| 1.576 | 24 |

Atomic structure:
```
data_Ag2Pb3Au3
_cell_length_a 8.5983
_cell_length_b 8.5983
_cell_length_c 5.7076
_cell_angle_alpha 90.00
_cell_angle_beta 90.00
_cell_angle_gamma 120.00
_symmetry_space_group_name_H-M 'P 63/m c m'
_symmetry_Int_Tables_number 193
_symmetry_space_group_name_Hall '-P 6c 2'
loop_
_atom_site_label
_atom_site_type_symbol
_atom_site_fract_x
_atom_site_fract_y
_atom_site_fract_z
Ag1 Ag 0.3333 0.6667 0.0000
Pb1 Pb 0.0000 0.2508 0.2500
Au1 Au 0.0000 0.4105 0.7500
```

Starting from DFT lattice parameters and positions (PBE), the powder X-ray diffraction pattern of AgPb2Au2 was simulated for CuKα.

Peak list (6 most intense, 2θ from 10° to 80°, low angle first)
| d/Å | I (rel.) |
| --- | --- |
| 7.478 | 40 |
| 3.937 | 44 |
| 2.501 | 100 |
| 2.309 | 80 |
| 1.697 | 31 |
| 1.367 | 31 |

Atomic structure:
```
data_AgPb2Au2
_cell_length_a 4.6182
_cell_length_b 4.6182
_cell_length_c 22.4327
_cell_angle_alpha 90.00
_cell_angle_beta 90.00
_cell_angle_gamma 120.00
_symmetry_space_group_name_H-M 'R -3 m'
_symmetry_Int_Tables_number 166
_symmetry_space_group_name_Hall '-R 3 2"'
loop_
_atom_site_label
_atom_site_type_symbol
_atom_site_fract_x
_atom_site_fract_y
_atom_site_fract_z
Ag1 Ag 0.0000 0.0000 0.0000
Pb1 Pb 0.0000 0.0000 0.4281
Au1 Au 0.0000 0.0000 0.2857
```

Starting from DFT lattice parameters and positions (PBE), the powder X-ray diffraction pattern of AgPd4Pb2Au2 was simulated for CuKα.

Peak list (6 most intense, 2θ from 10° to 80°, low angle first)
| d/Å | I (rel.) |
| --- | --- |
| 3.202 | 21 |
| 2.622 | 100 |
| 2.283 | 23 |
| 2.264 | 49 |
| 1.608 | 27 |
| 1.366 | 20 |

Atomic structure:
```
data_AgPd4Pb2Au2
_cell_length_a 6.4044
_cell_length_b 6.4044
_cell_length_c 9.1312
_cell_angle_alpha 90.00
_cell_angle_beta 90.00
_cell_angle_gamma 90.00
_symmetry_space_group_name_H-M 'I 4/m m m'
_symmetry_Int_Tables_number 139
_symmetry_space_group_name_Hall '-I 4 2'
loop_
_atom_site_label
_atom_site_type_symbol
_atom_site_fract_x
_atom_site_fract_y
_atom_site_fract_z
Ag1 Ag 0.0000 0.0000 0.0000
Pd1 Pd 0.2146 0.2146 0.5000
Pb1 Pb 0.0000 0.5000 0.2500
Au1 Au 0.0000 0.0000 0.2837
```

Starting from DFT lattice parameters and positions (PBE), the powder X-ray diffraction pattern of AgSb2Pb2Au7 was simulated for CuKα.

Peak list (6 most intense, 2θ from 10° to 80°, low angle first)
| d/Å | I (rel.) |
| --- | --- |
| 8.206 | 50 |
| 2.946 | 88 |
| 2.221 | 37 |
| 2.212 | 70 |
| 2.117 | 100 |
| 1.497 | 33 |

Atomic structure:
```
data_AgSb2Pb2Au7
_cell_length_a 5.9895
_cell_length_b 5.9885
_cell_length_c 16.6599
_cell_angle_alpha 90.00
_cell_angle_beta 99.88
_cell_angle_gamma 90.00
_symmetry_space_group_name_H-M 'C 1 2/m 1'
_symmetry_Int_Tables_number 12
_symmetry_space_group_name_Hall '-C 2y'
loop_
_atom_site_label
_atom_site_type_symbol
_atom_site_fract_x
_atom_site_fract_y
_atom_site_fract_z
Ag1 Ag 0.0000 0.0000 0.0000
Sb1 Sb 0.1104 0.5000 0.2322
Pb1 Pb 0.2114 0.0000 0.4239
Au1 Au 0.0000 0.5000 0.0000
Au2 Au 0.1900 0.2496 0.8745
Au3 Au 0.1999 0.5000 0.3998
```

Starting from DFT lattice parameters and positions (PBE), the powder X-ray diffraction pattern of Ag2SbPbAu4 was simulated for CuKα.

Peak list (6 most intense, 2θ from 10° to 80°, low angle first)
| d/Å | I (rel.) |
| --- | --- |
| 2.475 | 100 |
| 2.410 | 96 |
| 1.727 | 34 |
| 1.442 | 17 |
| 1.404 | 34 |
| 1.391 | 17 |

Atomic structure:
```
data_Ag2SbPbAu4
_cell_length_a 4.8195
_cell_length_b 4.8195
_cell_length_c 24.5923
_cell_angle_alpha 90.00
_cell_angle_beta 90.00
_cell_angle_gamma 120.00
_symmetry_space_group_name_H-M 'R -3 m'
_symmetry_Int_Tables_number 166
_symmetry_space_group_name_Hall '-R 3 2"'
loop_
_atom_site_label
_atom_site_type_symbol
_atom_site_fract_x
_atom_site_fract_y
_atom_site_fract_z
Ag1 Ag 0.0000 0.0000 0.2480
Sb1 Sb 0.0000 0.0000 0.0000
Pb1 Pb 0.0000 0.0000 0.5000
Au1 Au 0.0000 0.0000 0.1188
Au2 Au 0.0000 0.0000 0.3742
```

Starting from DFT lattice parameters and positions (PBE), the powder X-ray diffraction pattern of Zn2AgPb2Au5 was simulated for CuKα.

Peak list (6 most intense, 2θ from 10° to 80°, low angle first)
| d/Å | I (rel.) |
| --- | --- |
| 2.896 | 28 |
| 2.614 | 32 |
| 2.550 | 54 |
| 2.478 | 37 |
| 2.466 | 100 |
| 2.285 | 26 |

Atomic structure:
```
data_Zn2AgPb2Au5
_cell_length_a 10.5129
_cell_length_b 10.5129
_cell_length_c 3.6769
_cell_angle_alpha 90.00
_cell_angle_beta 90.00
_cell_angle_gamma 90.00
_symmetry_space_group_name_H-M 'P 4/m b m'
_symmetry_Int_Tables_number 127
_symmetry_space_group_name_Hall '-P 4 2ab'
loop_
_atom_site_label
_atom_site_type_symbol
_atom_site_fract_x
_atom_site_fract_y
_atom_site_fract_z
Zn1 Zn 0.1299 0.3701 0.0000
Ag1 Ag 0.0000 0.0000 0.0000
Pb1 Pb 0.1745 0.6745 0.0000
Au1 Au 0.0000 0.5000 0.5000
Au2 Au 0.0475 0.2017 0.5000
```

Starting from DFT lattice parameters and positions (PBE), the powder X-ray diffraction pattern of Ag8PdAu6 was simulated for CuKα.

Peak list (6 most intense, 2θ from 10° to 80°, low angle first)
| d/Å | I (rel.) |
| --- | --- |
| 2.375 | 41 |
| 2.362 | 42 |
| 2.349 | 100 |
| 2.307 | 71 |
| 2.291 | 52 |
| 1.369 | 27 |

Atomic structure:
```
data_Ag8PdAu6
_cell_length_a 7.2378
_cell_length_b 7.2378
_cell_length_c 17.9651
_cell_angle_alpha 90.00
_cell_angle_beta 90.00
_cell_angle_gamma 120.00
_symmetry_space_group_name_H-M 'R -3'
_symmetry_Int_Tables_number 148
_symmetry_space_group_name_Hall '-R 3'
loop_
_atom_site_label
_atom_site_type_symbol
_atom_site_fract_x
_atom_site_fract_y
_atom_site_fract_z
Ag1 Ag 0.0000 0.0000 0.0789
Ag2 Ag 0.0521 0.7994 0.6340
Pd1 Pd 0.0000 0.0000 0.5000
Au1 Au 0.0226 0.2470 0.2085
```

Starting from DFT lattice parameters and positions (PBE), the powder X-ray diffraction pattern of Ag5Pd2Au4 was simulated for CuKα.

Peak list (6 most intense, 2θ from 10° to 80°, low angle first)
| d/Å | I (rel.) |
| --- | --- |
| 2.442 | 32 |
| 2.411 | 46 |
| 2.348 | 60 |
| 2.287 | 58 |
| 2.279 | 100 |
| 2.257 | 48 |

Atomic structure:
```
data_Ag5Pd2Au4
_cell_length_a 7.3493
_cell_length_b 2.8669
_cell_length_c 9.3640
_cell_angle_alpha 90.00
_cell_angle_beta 94.77
_cell_angle_gamma 90.00
_symmetry_space_group_name_H-M 'P 1 2/m 1'
_symmetry_Int_Tables_number 10
_symmetry_space_group_name_Hall '-P 2y'
loop_
_atom_site_label
_atom_site_type_symbol
_atom_site_fract_x
_atom_site_fract_y
_atom_site_fract_z
Ag1 Ag 0.0000 0.0000 0.0000
Ag2 Ag 0.0561 0.0000 0.3069
Ag3 Ag 0.3152 0.0000 0.8422
Pd1 Pd 0.4323 0.0000 0.3625
Au1 Au 0.2288 0.5000 0.5647
Au2 Au 0.3196 0.5000 0.1129
```

Starting from DFT lattice parameters and positions (PBE), the powder X-ray diffraction pattern of Ag5Pd6Au was simulated for CuKα.

Peak list (6 most intense, 2θ from 10° to 80°, low angle first)
| d/Å | I (rel.) |
| --- | --- |
| 2.340 | 100 |
| 2.334 | 99 |
| 2.034 | 33 |
| 2.024 | 32 |
| 2.013 | 32 |
| 1.431 | 31 |

Atomic structure:
```
data_Ag5Pd6Au
_cell_length_a 4.0687
_cell_length_b 8.0513
_cell_length_c 6.3965
_cell_angle_alpha 90.00
_cell_angle_beta 108.32
_cell_angle_gamma 90.00
_symmetry_space_group_name_H-M 'P 1 2/m 1'
_symmetry_Int_Tables_number 10
_symmetry_space_group_name_Hall '-P 2y'
loop_
_atom_site_label
_atom_site_type_symbol
_atom_site_fract_x
_atom_site_fract_y
_atom_site_fract_z
Ag1 Ag 0.0000 0.0000 0.0000
Ag2 Ag 0.3331 0.0000 0.6661
Ag3 Ag 0.3332 0.5000 0.6662
Pd1 Pd 0.1662 0.2498 0.3326
Pd2 Pd 0.5000 0.2505 0.0000
Au1 Au 0.0000 0.5000 0.0000
```

Starting from DFT lattice parameters and positions (PBE), the powder X-ray diffraction pattern of AgPd3Au2 was simulated for CuKα.

Peak list (6 most intense, 2θ from 10° to 80°, low angle first)
| d/Å | I (rel.) |
| --- | --- |
| 2.339 | 100 |
| 2.042 | 33 |
| 1.994 | 16 |
| 1.427 | 21 |
| 1.228 | 26 |
| 1.208 | 12 |

Atomic structure:
```
data_AgPd3Au2
_cell_length_a 4.0813
_cell_length_b 12.2549
_cell_length_c 7.9771
_cell_angle_alpha 90.00
_cell_angle_beta 90.00
_cell_angle_gamma 90.00
_symmetry_space_group_name_H-M 'C m m m'
_symmetry_Int_Tables_number 65
_symmetry_space_group_name_Hall '-C 2 2'
loop_
_atom_site_label
_atom_site_type_symbol
_atom_site_fract_x
_atom_site_fract_y
_atom_site_fract_z
Ag1 Ag 0.0000 0.1670 0.0000
Pd1 Pd 0.0000 0.0000 0.2492
Pd2 Pd 0.0000 0.3337 0.2498
Au1 Au 0.0000 0.1670 0.5000
Au2 Au 0.0000 0.5000 0.0000
Au3 Au 0.0000 0.5000 0.5000
```

Starting from DFT lattice parameters and positions (PBE), the powder X-ray diffraction pattern of Ag3Pd6Au2 was simulated for CuKα.

Peak list (6 most intense, 2θ from 10° to 80°, low angle first)
| d/Å | I (rel.) |
| --- | --- |
| 2.360 | 58 |
| 2.273 | 100 |
| 2.266 | 76 |
| 2.228 | 50 |
| 2.024 | 19 |
| 1.389 | 16 |

Atomic structure:
```
data_Ag3Pd6Au2
_cell_length_a 8.2421
_cell_length_b 12.1433
_cell_length_c 4.4566
_cell_angle_alpha 90.00
_cell_angle_beta 122.52
_cell_angle_gamma 90.00
_symmetry_space_group_name_H-M 'C 1 2/m 1'
_symmetry_Int_Tables_number 12
_symmetry_space_group_name_Hall '-C 2y'
loop_
_atom_site_label
_atom_site_type_symbol
_atom_site_fract_x
_atom_site_fract_y
_atom_site_fract_z
Ag1 Ag 0.0000 0.0000 0.0000
Ag2 Ag 0.0000 0.2969 0.0000
Pd1 Pd 0.2009 0.5000 0.2003
Pd2 Pd 0.2030 0.3575 0.7021
Au1 Au 0.0000 0.1523 0.5000
```

Starting from DFT lattice parameters and positions (PBE), the powder X-ray diffraction pattern of AgPd3Au4 was simulated for CuKα.

Peak list (6 most intense, 2θ from 10° to 80°, low angle first)
| d/Å | I (rel.) |
| --- | --- |
| 2.361 | 100 |
| 2.349 | 98 |
| 2.064 | 67 |
| 1.992 | 30 |
| 1.433 | 31 |
| 1.243 | 13 |

Atomic structure:
```
data_AgPd3Au4
_cell_length_a 2.9308
_cell_length_b 4.9362
_cell_length_c 9.5152
_cell_angle_alpha 86.74
_cell_angle_beta 81.19
_cell_angle_gamma 89.87
_symmetry_space_group_name_H-M 'P -1'
_symmetry_Int_Tables_number 2
_symmetry_space_group_name_Hall '-P 1'
loop_
_atom_site_label
_atom_site_type_symbol
_atom_site_fract_x
_atom_site_fract_y
_atom_site_fract_z
Ag1 Ag 0.0000 0.0000 0.0000
Pd1 Pd 0.3740 0.1225 0.2496
Pd2 Pd 0.5000 0.5000 0.0000
Au1 Au 0.1226 0.3786 0.7558
Au2 Au 0.2495 0.7513 0.5006
```

Starting from DFT lattice parameters and positions (PBE), the powder X-ray diffraction pattern of AgPd4Au4 was simulated for CuKα.

Peak list (6 most intense, 2θ from 10° to 80°, low angle first)
| d/Å | I (rel.) |
| --- | --- |
| 2.346 | 100 |
| 2.033 | 33 |
| 2.028 | 16 |
| 1.436 | 21 |
| 1.226 | 25 |
| 1.223 | 13 |

Atomic structure:
```
data_AgPd4Au4
_cell_length_a 8.6263
_cell_length_b 8.6263
_cell_length_c 4.0550
_cell_angle_alpha 90.00
_cell_angle_beta 90.00
_cell_angle_gamma 90.00
_symmetry_space_group_name_H-M 'I 4/m m m'
_symmetry_Int_Tables_number 139
_symmetry_space_group_name_Hall '-I 4 2'
loop_
_atom_site_label
_atom_site_type_symbol
_atom_site_fract_x
_atom_site_fract_y
_atom_site_fract_z
Ag1 Ag 0.0000 0.0000 0.0000
Pd1 Pd 0.0000 0.3373 0.0000
Au1 Au 0.1682 0.1682 0.5000
```